Computed powder XRD pattern of K3LaPu2Se6 for a wavelength of 1.5418 Å, from a crystal structure in Alexandria, relaxed with PBE.
Lines closer than 0.1° are merged.

Most intense lines, 2θ from 5° to 70°, by angle:
11.6 deg, rel. 67
24.0 deg, rel. 20
28.4 deg, rel. 100
36.4 deg, rel. 22
39.5 deg, rel. 35
41.6 deg, rel. 37
43.3 deg, rel. 17
51.1 deg, rel. 19

Crystal structure
Cell lengths 7.519, 13.024, 8.048 Å; angles 90.00, 108.17, 90.00 degrees
Space group C2/m (No. 12)
Unique sites:
K (0.000, 0.000, 0.000) x2
K (0.000, 0.335, 0.000) x4
La (0.000, 0.500, 0.500) x2
Pu (0.000, 0.167, 0.500) x4
Se (0.227, 0.000, 0.707) x4
Se (0.241, 0.329, 0.707) x8